This entry pairs a crystal structure of TbDy4Er2Tm2 with its calculated powder XRD pattern. Radiation: Cu Kα. Structure: a cell relaxed with PBE.
Intensities are scaled so that the largest is 100.

Main lines, in order of rising 2θ (2θ from 10° to 80°):
2θ 29.3, rel. 37
2θ 31.6, rel. 50
2θ 32.3, rel. 100
2θ 34.1, rel. 87
2θ 40.8, rel. 15
2θ 51.5, rel. 38
2θ 55.7, rel. 22
2θ 59.0, rel. 18
2θ 61.7, rel. 44
2θ 62.1, rel. 15

Structure:
a = 9.389 Å, b = 9.389 Å, c = 9.422 Å
α = 115.27°, β = 115.27°, γ = 21.79°
Atoms (fractional coordinates):
Tb 0.000 0.000 0.000
Dy 0.185 0.185 0.334
Dy 0.481 0.481 0.665
Dy 0.519 0.519 0.335
Dy 0.815 0.815 0.666
Er 0.148 0.148 0.668
Er 0.852 0.852 0.332
Tm 0.333 0.333 0.000
Tm 0.667 0.667 0.000



This entry pairs a crystal structure of Tb2Dy2Er2Tm with its calculated powder XRD pattern. Radiation: Cu Kα. Structure: a cell relaxed with PBE.
Intensities are scaled so that the largest is 100.

Main lines, in order of rising 2θ (2θ from 10° to 80°):
2θ 31.7, rel. 100
2θ 31.9, rel. 99
2θ 45.6, rel. 37
2θ 56.4, rel. 20
2θ 56.8, rel. 39
2θ 56.9, rel. 19
2θ 66.3, rel. 12
2θ 66.7, rel. 12
2θ 75.5, rel. 17
2θ 75.8, rel. 17

Structure:
a = 8.704 Å, b = 8.704 Å, c = 8.704 Å
α = 37.57°, β = 37.57°, γ = 37.57°
Atoms (fractional coordinates):
Tb 0.141 0.141 0.141
Tb 0.859 0.859 0.859
Dy 0.286 0.286 0.286
Dy 0.714 0.714 0.714
Er 0.429 0.429 0.429
Er 0.571 0.571 0.571
Tm 0.000 0.000 0.000



This entry pairs a crystal structure of Tb2DyErTm with its calculated powder XRD pattern. Radiation: Cu Kα. Structure: a cell relaxed with PBE.
Intensities are scaled so that the largest is 100.

Main lines, in order of rising 2θ (2θ from 10° to 80°):
2θ 26.6, rel. 47
2θ 28.2, rel. 29
2θ 29.5, rel. 53
2θ 31.6, rel. 59
2θ 33.0, rel. 100
2θ 36.2, rel. 53
2θ 40.4, rel. 38
2θ 46.4, rel. 65
2θ 50.9, rel. 30
2θ 66.9, rel. 36

Structure:
a = 7.017 Å, b = 7.017 Å, c = 7.173 Å
α = 90.00°, β = 90.00°, γ = 107.50°
Atoms (fractional coordinates):
Tb 0.192 0.192 0.000
Tb 0.192 0.192 0.500
Tb 0.808 0.808 0.000
Tb 0.808 0.808 0.500
Dy 0.226 0.774 0.750
Dy 0.774 0.226 0.250
Er 0.224 0.776 0.250
Er 0.776 0.224 0.750
Tm 0.499 0.501 0.250
Tm 0.501 0.499 0.750



This entry pairs a crystal structure of Tb6Dy2ErTm with its calculated powder XRD pattern. Radiation: Cu Kα. Structure: a cell relaxed with PBE.
Intensities are scaled so that the largest is 100.

Main lines, in order of rising 2θ (2θ from 10° to 80°):
2θ 28.2, rel. 17
2θ 28.8, rel. 38
2θ 30.9, rel. 100
2θ 31.5, rel. 46
2θ 31.8, rel. 99
2θ 32.5, rel. 20
2θ 34.0, rel. 45
2θ 34.7, rel. 15
2θ 51.2, rel. 12
2θ 54.5, rel. 12

Structure:
a = 8.735 Å, b = 8.735 Å, c = 9.522 Å
α = 94.06°, β = 94.06°, γ = 117.98°
Atoms (fractional coordinates):
Tb 0.017 0.570 0.186
Tb 0.124 0.753 0.556
Tb 0.247 0.876 0.944
Tb 0.290 0.503 0.380
Tb 0.430 0.983 0.314
Tb 0.497 0.710 0.120
Tb 0.503 0.290 0.880
Tb 0.570 0.017 0.686
Tb 0.710 0.497 0.620
Tb 0.753 0.124 0.056
Tb 0.876 0.247 0.444
Tb 0.983 0.430 0.814
Dy 0.198 0.301 0.044
Dy 0.301 0.198 0.544
Dy 0.699 0.802 0.456
Dy 0.802 0.699 0.956
Er 0.023 0.977 0.250
Er 0.977 0.023 0.750
Tm 0.409 0.591 0.750
Tm 0.591 0.409 0.250



This entry pairs a crystal structure of TbDyEr2Tm2 with its calculated powder XRD pattern. Radiation: Cu Kα. Structure: a cell relaxed with PBE.
Intensities are scaled so that the largest is 100.

Main lines, in order of rising 2θ (2θ from 10° to 80°):
2θ 27.1, rel. 20
2θ 29.4, rel. 58
2θ 30.8, rel. 100
2θ 31.8, rel. 22
2θ 33.8, rel. 27
2θ 34.5, rel. 37
2θ 36.5, rel. 21
2θ 41.8, rel. 44
2θ 63.4, rel. 16
2θ 66.1, rel. 18

Structure:
a = 6.474 Å, b = 17.462 Å, c = 3.351 Å
α = 90.00°, β = 90.00°, γ = 90.00°
Atoms (fractional coordinates):
Tb 0.000 0.000 0.000
Tb 0.500 0.500 0.500
Dy 0.000 0.500 0.000
Dy 0.500 0.000 0.500
Er 0.229 0.184 0.000
Er 0.271 0.684 0.500
Er 0.729 0.316 0.500
Er 0.771 0.816 0.000
Tm 0.227 0.351 0.500
Tm 0.273 0.851 0.000
Tm 0.727 0.149 0.000
Tm 0.773 0.649 0.500



This entry pairs a crystal structure of Tb2Dy2Y6Er with its calculated powder XRD pattern. Radiation: Cu Kα. Structure: a cell relaxed with PBE.
Intensities are scaled so that the largest is 100.

Main lines, in order of rising 2θ (2θ from 10° to 80°):
2θ 31.0, rel. 61
2θ 31.6, rel. 40
2θ 32.2, rel. 100
2θ 34.3, rel. 18
2θ 44.8, rel. 20
2θ 47.3, rel. 15
2θ 53.3, rel. 12
2θ 56.6, rel. 26
2θ 62.4, rel. 17
2θ 63.3, rel. 16

Structure:
a = 6.652 Å, b = 6.652 Å, c = 10.470 Å
α = 90.00°, β = 90.00°, γ = 129.57°
Atoms (fractional coordinates):
Tb 0.208 0.792 0.000
Tb 0.792 0.208 0.000
Dy 0.133 0.867 0.500
Dy 0.867 0.133 0.500
Y 0.000 0.000 0.205
Y 0.000 0.000 0.795
Y 0.348 0.652 0.297
Y 0.348 0.652 0.703
Y 0.652 0.348 0.297
Y 0.652 0.348 0.703
Er 0.500 0.500 0.000



This entry pairs a crystal structure of Tb2DyY6Er with its calculated powder XRD pattern. Radiation: Cu Kα. Structure: a cell relaxed with PBE.
Intensities are scaled so that the largest is 100.

Main lines, in order of rising 2θ (2θ from 10° to 80°):
2θ 11.8, rel. 28
2θ 27.9, rel. 31
2θ 28.7, rel. 42
2θ 30.6, rel. 100
2θ 31.5, rel. 48
2θ 31.6, rel. 41
2θ 31.7, rel. 73
2θ 32.4, rel. 27
2θ 33.7, rel. 45
2θ 60.8, rel. 19

Structure:
a = 8.762 Å, b = 8.762 Å, c = 9.637 Å
α = 94.49°, β = 94.49°, γ = 117.68°
Atoms (fractional coordinates):
Tb 0.196 0.298 0.045
Tb 0.298 0.196 0.545
Tb 0.702 0.804 0.455
Tb 0.804 0.702 0.955
Dy 0.022 0.978 0.250
Dy 0.978 0.022 0.750
Y 0.017 0.571 0.185
Y 0.123 0.752 0.556
Y 0.248 0.877 0.944
Y 0.293 0.504 0.381
Y 0.429 0.983 0.315
Y 0.496 0.707 0.119
Y 0.504 0.293 0.881
Y 0.571 0.017 0.685
Y 0.707 0.496 0.619
Y 0.752 0.123 0.056
Y 0.877 0.248 0.444
Y 0.983 0.429 0.815
Er 0.408 0.592 0.750
Er 0.592 0.408 0.250



This entry pairs a crystal structure of DyEr2Tc with its calculated powder XRD pattern. Radiation: Cu Kα. Structure: a cell relaxed with PBE.
Intensities are scaled so that the largest is 100.

Main lines, in order of rising 2θ (2θ from 10° to 80°):
2θ 29.7, rel. 54
2θ 31.1, rel. 78
2θ 31.3, rel. 72
2θ 32.8, rel. 100
2θ 33.0, rel. 94
2θ 34.4, rel. 81
2θ 35.2, rel. 82
2θ 37.2, rel. 40
2θ 39.1, rel. 67
2θ 56.5, rel. 55

Structure:
a = 7.436 Å, b = 9.062 Å, c = 6.199 Å
α = 90.00°, β = 90.00°, γ = 90.00°
Atoms (fractional coordinates):
Dy 0.041 0.250 0.127
Dy 0.459 0.750 0.627
Dy 0.541 0.250 0.373
Dy 0.959 0.750 0.873
Er 0.176 0.063 0.656
Er 0.176 0.437 0.656
Er 0.324 0.563 0.156
Er 0.324 0.937 0.156
Er 0.676 0.063 0.844
Er 0.676 0.437 0.844
Er 0.824 0.563 0.344
Er 0.824 0.937 0.344
Tc 0.116 0.750 0.456
Tc 0.384 0.250 0.956
Tc 0.616 0.750 0.044
Tc 0.884 0.250 0.544



This entry pairs a crystal structure of DyErTc with its calculated powder XRD pattern. Radiation: Cu Kα. Structure: a cell relaxed with PBE.
Intensities are scaled so that the largest is 100.

Main lines, in order of rising 2θ (2θ from 10° to 80°):
2θ 29.9, rel. 36
2θ 30.7, rel. 100
2θ 32.1, rel. 80
2θ 33.8, rel. 20
2θ 37.4, rel. 30
2θ 39.4, rel. 17
2θ 41.1, rel. 30
2θ 45.5, rel. 23
2θ 56.8, rel. 49
2θ 63.0, rel. 17

Structure:
a = 4.392 Å, b = 18.071 Å, c = 3.988 Å
α = 90.00°, β = 90.00°, γ = 90.00°
Atoms (fractional coordinates):
Dy 0.000 0.085 0.250
Dy 0.000 0.915 0.750
Dy 0.500 0.415 0.750
Dy 0.500 0.585 0.250
Er 0.000 0.302 0.250
Er 0.000 0.698 0.750
Er 0.500 0.198 0.750
Er 0.500 0.802 0.250
Tc 0.000 0.464 0.250
Tc 0.000 0.536 0.750
Tc 0.500 0.036 0.750
Tc 0.500 0.964 0.250



This entry pairs a crystal structure of Dy2Er3Te6 with its calculated powder XRD pattern. Radiation: Cu Kα. Structure: a cell relaxed with PBE.
Intensities are scaled so that the largest is 100.

Main lines, in order of rising 2θ (2θ from 10° to 80°):
2θ 29.3, rel. 51
2θ 29.4, rel. 100
2θ 41.9, rel. 38
2θ 42.0, rel. 75
2θ 52.1, rel. 30
2θ 60.9, rel. 12
2θ 68.9, rel. 17
2θ 69.1, rel. 17
2θ 76.6, rel. 12
2θ 76.8, rel. 16

Structure:
a = 7.452 Å, b = 7.452 Å, c = 7.452 Å
α = 99.71°, β = 99.71°, γ = 119.70°
Atoms (fractional coordinates):
Dy 0.164 0.836 0.000
Dy 0.836 0.164 0.000
Er 0.000 0.000 0.500
Er 0.329 0.671 0.500
Er 0.671 0.329 0.500
Te 0.097 0.419 0.755
Te 0.261 0.261 0.248
Te 0.419 0.097 0.755
Te 0.581 0.903 0.245
Te 0.739 0.739 0.752
Te 0.903 0.581 0.245



This entry pairs a crystal structure of Dy4Er3Te8 with its calculated powder XRD pattern. Radiation: Cu Kα. Structure: a cell relaxed with PBE.
Intensities are scaled so that the largest is 100.

Main lines, in order of rising 2θ (2θ from 10° to 80°):
2θ 12.5, rel. 4
2θ 14.5, rel. 3
2θ 24.2, rel. 4
2θ 29.2, rel. 100
2θ 31.9, rel. 3
2θ 41.8, rel. 76
2θ 51.8, rel. 27
2θ 60.6, rel. 13
2θ 68.7, rel. 34
2θ 76.4, rel. 25

Structure:
a = 8.639 Å, b = 8.639 Å, c = 8.637 Å
α = 119.98°, β = 119.98°, γ = 90.01°
Atoms (fractional coordinates):
Dy 0.000 0.000 0.000
Dy 0.000 0.000 0.500
Dy 0.000 0.500 0.000
Dy 0.500 0.000 0.000
Er 0.000 0.500 0.500
Er 0.500 0.000 0.500
Er 0.500 0.500 0.000
Te 0.251 0.749 0.000
Te 0.256 0.744 0.500
Te 0.257 0.257 0.013
Te 0.257 0.257 0.502
Te 0.743 0.743 0.498
Te 0.743 0.743 0.987
Te 0.744 0.256 0.500
Te 0.749 0.251 0.000



This entry pairs a crystal structure of Dy3ErTe6 with its calculated powder XRD pattern. Radiation: Cu Kα. Structure: a cell relaxed with PBE.
Intensities are scaled so that the largest is 100.

Main lines, in order of rising 2θ (2θ from 10° to 80°):
2θ 17.2, rel. 41
2θ 19.7, rel. 32
2θ 22.0, rel. 54
2θ 24.2, rel. 43
2θ 31.4, rel. 84
2θ 31.5, rel. 100
2θ 37.2, rel. 83
2θ 37.7, rel. 38
2θ 41.3, rel. 18
2θ 45.2, rel. 27

Structure:
a = 8.996 Å, b = 8.996 Å, c = 8.996 Å
α = 90.50°, β = 90.50°, γ = 90.50°
Atoms (fractional coordinates):
Dy 0.075 0.743 0.582
Dy 0.257 0.418 0.925
Dy 0.418 0.925 0.257
Dy 0.582 0.075 0.743
Dy 0.743 0.582 0.075
Dy 0.925 0.257 0.418
Er 0.000 0.000 0.000
Er 0.500 0.500 0.500
Te 0.039 0.680 0.911
Te 0.089 0.961 0.320
Te 0.186 0.409 0.586
Te 0.320 0.089 0.961
Te 0.409 0.586 0.186
Te 0.414 0.814 0.591
Te 0.586 0.186 0.409
Te 0.591 0.414 0.814
Te 0.680 0.911 0.039
Te 0.814 0.591 0.414
Te 0.911 0.039 0.680
Te 0.961 0.320 0.089



Number 4 is which compound?
Tb6Dy2ErTm



Which formula does entry 11 have?
Dy4Er3Te8